For Cs2GeF7, a PBE-relaxed structure gives the computed X-ray diffraction stick pattern in this record (a wavelength of 1.5418 Å).
No peak broadening, texture or thermal motion is included.

Structural model:
a = 8.0135 Å, b = 8.0135 Å, c = 11.2146 Å
α = 126.04°, β = 126.04°, γ = 46.00°
Atoms (fractional coordinates):
Cs 0.1314 0.1919 0.0619
Cs 0.1919 0.1314 0.5619
Cs 0.8081 0.8686 0.4381
Cs 0.8686 0.8081 0.9381
Ge 0.4930 0.5070 0.7500
Ge 0.5070 0.4930 0.2500
F 0.1734 0.8266 0.7500
F 0.2107 0.6596 0.2813
F 0.2701 0.5487 0.8068
F 0.3404 0.7893 0.2187
F 0.3498 0.3869 0.5486
F 0.3869 0.3498 0.0486
F 0.4513 0.7299 0.6932
F 0.5487 0.2701 0.3068
F 0.6131 0.6502 0.9514
F 0.6502 0.6131 0.4514
F 0.6596 0.2107 0.7813
F 0.7299 0.4513 0.1932
F 0.7893 0.3404 0.7187
F 0.8266 0.1734 0.2500

Main lines, in order of falling intensity (5° ≤ 2θ ≤ 70°):
2θ (°)	d [Å]	Rel. int.
21.94	4.052	100
27.55	3.237	45
24.14	3.687	40
37.69	2.387	33
33.17	2.701	26
37.46	2.401	24